# 1
Simulated X-ray powder pattern of SrAu2I8 for Cu Kα, 1.54184 Å, from a crystal structure in Alexandria, relaxed with GGA-PBE.
Intensities are scaled so that the largest is 100.

Atomic structure:
a b c (Å): 8.197 8.197 13.359
angles (deg): 90.00 90.00 90.00
Space group I422 (No. 97)
One atom of each set of equivalent atoms:
Sr 0.000 0.000 0.000
Au 0.000 0.500 0.250
I 0.171 0.320 0.614

Principal peaks in the range 5 to 70 degrees two-theta, sorted by position:
- 2θ = 15.29°, I = 82, hkl 1 1 0
- 2θ = 20.29°, I = 69, hkl 1 1 2
- 2θ = 25.19°, I = 97, hkl 2 1 1
- 2θ = 31.61°, I = 82, hkl 2 1 3
- 2θ = 34.65°, I = 100, hkl 2 0 4
- 2θ = 44.23°, I = 49, hkl 3 1 4

---

# 2
Simulated X-ray powder pattern of Sm2Al4InPd3 for Cu Kα, 1.54184 Å, from a crystal structure in Alexandria, relaxed with GGA-PBE.
Intensities are scaled so that the largest is 100.

Atomic structure:
a b c (Å): 4.304 4.304 10.776
angles (deg): 90.00 90.00 90.00
Space group P-4m2 (No. 115)
One atom of each set of equivalent atoms:
Sm 0.000 0.500 0.241
Al 0.000 0.000 0.000
Al 0.000 0.500 0.650
Al 0.500 0.500 0.000
In 0.000 0.000 0.500
Pd 0.000 0.500 0.876
Pd 0.500 0.500 0.500

Principal peaks in the range 5 to 70 degrees two-theta, sorted by position:
- 2θ = 30.52°, I = 36, hkl 1 1 1
- 2θ = 32.47°, I = 70, hkl 1 0 3
- 2θ = 33.83°, I = 100, hkl 1 1 2
- 2θ = 41.98°, I = 59, hkl 2 0 0
- 2θ = 47.16°, I = 27, hkl 1 0 5
- 2θ = 54.05°, I = 33, hkl 2 1 3

---

# 3
Simulated X-ray powder pattern of LiTbHoTe3 for Cu Kα, 1.54184 Å, from a crystal structure in Alexandria, relaxed with GGA-PBE.
Intensities are scaled so that the largest is 100.

Atomic structure:
a b c (Å): 8.869 4.211 9.456
angles (deg): 90.00 103.87 90.00
Space group P2_1/m (No. 11)
One atom of each set of equivalent atoms:
Li 0.085 0.250 0.085
Tb 0.187 0.250 0.732
Ho 0.333 0.750 0.337
Te 0.090 0.250 0.377
Te 0.236 0.750 0.996
Te 0.424 0.750 0.674

Principal peaks in the range 5 to 70 degrees two-theta, sorted by position:
- 2θ = 9.63°, I = 20, hkl 0 0 1
- 2θ = 29.18°, I = 34, hkl 0 0 3
- 2θ = 29.65°, I = 100, hkl 2 1 -1
- 2θ = 35.74°, I = 20, hkl 1 1 -3
- 2θ = 38.41°, I = 23, hkl 2 1 2
- 2θ = 40.69°, I = 21, hkl 4 0 -1

---

Copy entry 3 word for word.
Simulated X-ray powder pattern of LiTbHoTe3 for Cu Kα, 1.54184 Å, from a crystal structure in Alexandria, relaxed with GGA-PBE.
Intensities are scaled so that the largest is 100.

Atomic structure:
a b c (Å): 8.869 4.211 9.456
angles (deg): 90.00 103.87 90.00
Space group P2_1/m (No. 11)
One atom of each set of equivalent atoms:
Li 0.085 0.250 0.085
Tb 0.187 0.250 0.732
Ho 0.333 0.750 0.337
Te 0.090 0.250 0.377
Te 0.236 0.750 0.996
Te 0.424 0.750 0.674

Principal peaks in the range 5 to 70 degrees two-theta, sorted by position:
- 2θ = 9.63°, I = 20, hkl 0 0 1
- 2θ = 29.18°, I = 34, hkl 0 0 3
- 2θ = 29.65°, I = 100, hkl 2 1 -1
- 2θ = 35.74°, I = 20, hkl 1 1 -3
- 2θ = 38.41°, I = 23, hkl 2 1 2
- 2θ = 40.69°, I = 21, hkl 4 0 -1

---

Copy entry 3 word for word.
Simulated X-ray powder pattern of LiTbHoTe3 for Cu Kα, 1.54184 Å, from a crystal structure in Alexandria, relaxed with GGA-PBE.
Intensities are scaled so that the largest is 100.

Atomic structure:
a b c (Å): 8.869 4.211 9.456
angles (deg): 90.00 103.87 90.00
Space group P2_1/m (No. 11)
One atom of each set of equivalent atoms:
Li 0.085 0.250 0.085
Tb 0.187 0.250 0.732
Ho 0.333 0.750 0.337
Te 0.090 0.250 0.377
Te 0.236 0.750 0.996
Te 0.424 0.750 0.674

Principal peaks in the range 5 to 70 degrees two-theta, sorted by position:
- 2θ = 9.63°, I = 20, hkl 0 0 1
- 2θ = 29.18°, I = 34, hkl 0 0 3
- 2θ = 29.65°, I = 100, hkl 2 1 -1
- 2θ = 35.74°, I = 20, hkl 1 1 -3
- 2θ = 38.41°, I = 23, hkl 2 1 2
- 2θ = 40.69°, I = 21, hkl 4 0 -1

---

Number 1 is which compound?
SrAu2I8